# 1
CaY4Ag4O12: computed powder XRD pattern (Cu Kα), based on the GGA-PBE geometry in the Materials Project.
Kinematic intensities with the Lorentz-polarization factor, no thermal factor.

The 12 most intense peaks (2θ from 15° to 90°), low angle first:
d (Å)	2θ/deg	I (rel.)	index
4.639	19.13	20.4	1 0 1
3.638	24.47	98.8	0 0 2
3.134	28.48	55.0	2 0 0
2.928	30.53	20.9	2 0 -1
2.847	31.43	100.0	1 2 -1
2.824	31.68	29.4	2 0 1
2.799	31.98	75.9	1 2 1
2.526	35.54	22.1	0 2 2
2.434	36.94	23.1	2 0 -2
1.880	48.43	21.8	1 2 3
1.760	51.95	25.9	3 2 -1
1.755	52.13	21.1	0 4 0

Crystal structure
```
data_CaY4Ag4O12
_chemical_formula_sum 'Ca1 Y4 Ag4 O12'
_cell_length_a 6.276
_cell_length_b 7.018
_cell_length_c 7.285
_cell_angle_alpha 90.00
_cell_angle_beta 92.78
_cell_angle_gamma 90.00
_symmetry_space_group_name_H-M 'P 1 m 1'
_symmetry_Int_Tables_number 6
loop_
_symmetry_equiv_pos_as_xyz
'x,y,z'
'x,-y,z'
loop_
_atom_site_label
_atom_site_type_symbol
_atom_site_fract_x
_atom_site_fract_y
_atom_site_fract_z
Ca1 Ca 0.000 0.000 0.000
Y1 Y 0.437 0.000 0.269
Y2 Y 0.521 0.500 0.351
Y3 Y 0.860 0.000 0.610
Y4 Y 0.865 0.500 0.850
Ag1 Ag 0.414 0.243 0.809
Ag2 Ag 0.986 0.286 0.308
O1 O 0.089 0.249 0.764
O2 O 0.091 0.000 0.368
O3 O 0.297 0.290 0.219
O4 O 0.364 0.000 0.958
O5 O 0.507 0.500 0.684
O6 O 0.682 0.205 0.420
O7 O 0.733 0.199 0.849
O8 O 0.798 0.500 0.150
```

# 2
Ca3Ta2O8: computed powder XRD pattern (Cu Kα), based on the GGA-PBE geometry in the Materials Project.
Kinematic intensities with the Lorentz-polarization factor, no thermal factor.

The 12 most intense peaks (2θ from 15° to 90°), low angle first:
d (Å)	2θ/deg	I (rel.)	index
4.677	18.97	58.5	2 1 1
3.664	24.29	11.3	3 0 1
3.003	29.75	100.0	1 3 2
2.844	31.46	13.0	2 1 3
2.636	34.01	22.1	4 2 0
2.532	35.45	9.8	0 0 4
2.297	39.23	15.2	5 0 1
1.933	47.00	14.5	3 4 3
1.864	48.85	12.5	2 6 0
1.826	49.94	28.7	4 2 4
1.584	58.26	20.7	5 5 2
1.537	60.19	18.7	1 3 6

Crystal structure
```
data_Ca3Ta2O8
_chemical_formula_sum 'Ca24 Ta16 O64'
_cell_length_a 11.790
_cell_length_b 11.790
_cell_length_c 10.130
_cell_angle_alpha 90.00
_cell_angle_beta 90.00
_cell_angle_gamma 90.00
_symmetry_space_group_name_H-M 'I 41/a'
_symmetry_Int_Tables_number 88
loop_
_symmetry_equiv_pos_as_xyz
'x,y,z'
'-x,-y,-z'
'-y+3/4,x+1/4,z+1/4'
'y+3/4,-x+1/4,-z+1/4'
'-x+1/2,-y,z+1/2'
'x+1/2,y,-z+1/2'
'y+3/4,-x+3/4,z+3/4'
'-y+3/4,x+3/4,-z+3/4'
'x+1/2,y+1/2,z+1/2'
'-x+1/2,-y+1/2,-z+1/2'
'-y+1/4,x+3/4,z+3/4'
'y+1/4,-x+3/4,-z+3/4'
'-x,-y+1/2,z'
'x,y+1/2,-z'
'y+1/4,-x+1/4,z+1/4'
'-y+1/4,x+1/4,-z+1/4'
loop_
_atom_site_label
_atom_site_type_symbol
_atom_site_fract_x
_atom_site_fract_y
_atom_site_fract_z
Ca1 Ca 0.000 0.250 0.125
Ca2 Ca 0.000 0.250 0.625
Ca3 Ca 0.127 0.049 0.401
Ta1 Ta 0.081 0.055 0.875
O1 O 0.039 0.402 0.011
O2 O 0.040 0.440 0.747
O3 O 0.055 0.385 0.445
O4 O 0.187 0.462 0.230
```

# 3
MoW2Se4S2: computed powder XRD pattern (Cu Kα), based on the GGA-PBE geometry in the Materials Project.
Kinematic intensities with the Lorentz-polarization factor, no thermal factor.

The 12 most intense peaks (2θ from 15° to 90°), low angle first:
d (Å)	2θ/deg	I (rel.)	index
2.838	31.53	57.4	1 0 0
2.789	32.09	40.6	1 0 2
2.657	33.74	47.2	1 0 4
2.473	36.33	90.4	1 0 6
2.372	37.94	100.0	1 0 7
2.168	41.67	42.4	1 0 9
2.069	43.75	33.5	1 0 10
1.974	45.97	89.9	1 0 11
1.638	56.15	50.1	1 1 0
1.629	56.49	24.0	1 1 2
1.601	57.56	26.9	1 1 4
1.205	79.56	25.2	1 1 17

Crystal structure
```
data_MoW2Se4S2
_chemical_formula_sum 'Mo1 W2 Se4 S2'
_cell_length_a 3.2769
_cell_length_b 3.2769
_cell_length_c 30.2277
_cell_angle_alpha 90.00
_cell_angle_beta 90.00
_cell_angle_gamma 120.00
_symmetry_space_group_name_H-M 'P -6 m 2'
_symmetry_Int_Tables_number 187
_symmetry_space_group_name_Hall 'P -6 2'
loop_
_atom_site_label
_atom_site_type_symbol
_atom_site_fract_x
_atom_site_fract_y
_atom_site_fract_z
Mo1 Mo 0.0000 0.0000 0.0000
W1 W 0.6667 0.3333 0.2313
Se1 Se 0.0000 0.0000 0.1751
Se2 Se 0.0000 0.0000 0.2876
S1 S 0.6667 0.3333 0.0509
```

# 4
KCO3: computed powder XRD pattern (Cu Kα), based on the GGA-PBE geometry in the Materials Project.
Kinematic intensities with the Lorentz-polarization factor, no thermal factor.

The 12 most intense peaks (2θ from 15° to 90°), low angle first:
d (Å)	2θ/deg	I (rel.)	index
3.779	23.54	100.0	0 0 4
3.103	28.77	78.1	1 1 1
2.989	29.90	26.9	1 0 -4
2.927	30.54	94.3	1 1 -3
2.893	30.90	17.6	0 2 0
2.702	33.15	20.5	0 2 2
2.530	35.48	27.3	1 0 4
2.386	37.70	31.6	1 1 -5
2.295	39.26	28.2	1 2 -2
2.171	41.59	32.5	1 2 2
2.023	44.79	17.0	0 1 7
1.900	47.87	18.7	0 2 6

Crystal structure
```
data_KCO3
_chemical_formula_sum 'K4 C4 O12'
_cell_length_a 4.006
_cell_length_b 5.787
_cell_length_c 15.329
_cell_angle_alpha 90.00
_cell_angle_beta 99.51
_cell_angle_gamma 90.00
_symmetry_space_group_name_H-M 'P 1 21/c 1'
_symmetry_Int_Tables_number 14
loop_
_symmetry_equiv_pos_as_xyz
'x,y,z'
'-x,-y,-z'
'-x,y+1/2,-z+1/2'
'x,-y+1/2,z+1/2'
loop_
_atom_site_label
_atom_site_type_symbol
_atom_site_fract_x
_atom_site_fract_y
_atom_site_fract_z
K1 K 0.196 0.027 0.350
C1 C 0.365 0.029 0.129
O1 O 0.240 0.218 0.094
O2 O 0.274 0.667 0.595
O3 O 0.413 0.538 0.300
```

# 5
VB2S4: computed powder XRD pattern (Cu Kα), based on the GGA-PBE geometry in the Materials Project.
Kinematic intensities with the Lorentz-polarization factor, no thermal factor.

The 12 most intense peaks (2θ from 15° to 90°), low angle first:
d (Å)	2θ/deg	I (rel.)	index
4.956	17.90	22.0	2 0 -1
3.105	28.75	14.0	0 0 2
2.848	31.41	26.9	4 0 -1
2.576	34.83	100.0	1 1 1
2.478	36.25	49.5	4 0 -2
2.385	37.71	22.4	2 0 2
2.355	38.21	12.0	3 1 -1
2.051	44.16	34.4	1 1 2
1.836	49.66	32.1	5 1 -1
1.772	51.58	22.7	5 1 0
1.740	52.61	37.3	3 1 -3
1.530	60.49	14.0	0 2 0

Crystal structure
```
data_VB2S4
_chemical_formula_sum 'V2 B4 S8'
_cell_length_a 11.477
_cell_length_b 3.061
_cell_length_c 6.560
_cell_angle_alpha 90.00
_cell_angle_beta 108.79
_cell_angle_gamma 90.00
_symmetry_space_group_name_H-M 'C 1 2/m 1'
_symmetry_Int_Tables_number 12
loop_
_symmetry_equiv_pos_as_xyz
'x,y,z'
'-x,-y,-z'
'-x,y,-z'
'x,-y,z'
'x+1/2,y+1/2,z'
'-x+1/2,-y+1/2,-z'
'-x+1/2,y+1/2,-z'
'x+1/2,-y+1/2,z'
loop_
_atom_site_label
_atom_site_type_symbol
_atom_site_fract_x
_atom_site_fract_y
_atom_site_fract_z
V1 V 0.000 0.000 0.000
B1 B 0.221 0.000 0.142
S1 S 0.115 0.500 0.266
S2 S 0.157 0.000 0.820
```

# 6
K3HSe2O8: computed powder XRD pattern (Cu Kα), based on the GGA-PBE geometry in the Materials Project.
Kinematic intensities with the Lorentz-polarization factor, no thermal factor.

The 12 most intense peaks (2θ from 15° to 90°), low angle first:
d (Å)	2θ/deg	I (rel.)	index
5.076	17.47	26.1	1 1 -1
5.046	17.58	17.3	0 0 2
4.715	18.82	14.3	1 1 1
3.726	23.88	13.9	4 0 0
3.391	26.28	100.0	4 0 -2
3.011	29.67	26.5	0 2 0
2.999	29.79	57.3	1 1 -3
2.254	40.01	28.2	4 2 -2
2.237	40.32	15.2	2 0 4
2.057	44.03	13.7	7 1 -1
1.802	50.67	14.8	5 1 -5
1.480	62.81	11.0	8 2 -4

Crystal structure
```
data_K3HSe2O8
_chemical_formula_sum 'K12 H4 Se8 O32'
_cell_length_a 15.322
_cell_length_b 6.023
_cell_length_c 10.375
_cell_angle_alpha 90.00
_cell_angle_beta 103.42
_cell_angle_gamma 90.00
_symmetry_space_group_name_H-M 'C 1 c 1'
_symmetry_Int_Tables_number 9
loop_
_symmetry_equiv_pos_as_xyz
'x,y,z'
'x,-y,z+1/2'
'x+1/2,y+1/2,z'
'x+1/2,-y+1/2,z+1/2'
loop_
_atom_site_label
_atom_site_type_symbol
_atom_site_fract_x
_atom_site_fract_y
_atom_site_fract_z
K1 K 0.000 0.235 0.000
K2 K 0.109 0.264 0.696
K3 K 0.306 0.241 0.099
H1 H 0.305 0.024 0.358
Se1 Se 0.187 0.230 0.387
Se2 Se 0.420 0.231 0.809
O1 O 0.147 0.009 0.450
O2 O 0.151 0.251 0.223
O3 O 0.178 0.463 0.466
O4 O 0.303 0.177 0.413
O5 O 0.307 0.175 0.786
O6 O 0.434 0.464 0.730
O7 O 0.460 0.251 0.972
O8 O 0.464 0.012 0.747
```

# 7
Lu2Pt2O7: computed powder XRD pattern (Cu Kα), based on the GGA-PBE geometry in the Materials Project.
Kinematic intensities with the Lorentz-polarization factor, no thermal factor.

The 9 most intense peaks (2θ from 15° to 90°), low angle first:
d (Å)	2θ/deg	I (rel.)	index
3.063	29.16	0.8	3 1 1
2.932	30.49	100.0	2 2 2
2.539	35.35	36.9	4 0 0
1.796	50.85	45.7	4 4 0
1.531	60.45	43.9	6 2 2
1.466	63.45	10.4	4 4 4
1.270	74.77	6.9	8 0 0
1.165	82.85	18.3	6 6 2
1.136	85.50	14.9	8 4 0

Crystal structure
a = 10.158 Å, b = 10.158 Å, c = 10.158 Å
α = 90.00°, β = 90.00°, γ = 90.00°
Space group Fd-3m (No. 227, origin choice 2)
Inequivalent atoms, fractional coordinates:
1 Lu 0.000 0.000 0.000 x16
2 Pt 0.000 0.000 0.500 x16
3 O 0.095 0.375 0.875 x48
4 O 0.125 0.125 0.125 x8

# 8
Ba2AlAg3O8: computed powder XRD pattern (Cu Kα), based on the GGA-PBE geometry in the Materials Project.
Kinematic intensities with the Lorentz-polarization factor, no thermal factor.

The 12 most intense peaks (2θ from 15° to 90°), low angle first:
d (Å)	2θ/deg	I (rel.)	index
3.829	23.23	10.0	1 0 1
3.393	26.26	7.5	1 0 2
2.912	30.71	100.0	1 0 3
2.840	31.50	45.6	1 1 0
2.114	42.77	16.0	0 0 6
2.008	45.14	29.6	2 0 0
1.696	54.08	24.5	1 1 6
1.653	55.60	40.7	2 1 3
1.456	63.95	10.1	2 0 6
1.420	65.75	8.9	2 2 0
1.276	74.33	11.4	3 0 3
1.270	74.73	7.7	3 1 0

Crystal structure
```
data_Ba2AlAg3O8
_chemical_formula_sum 'Ba2 Al1 Ag3 O8'
_cell_length_a 4.017
_cell_length_b 4.017
_cell_length_c 12.680
_cell_angle_alpha 90.00
_cell_angle_beta 90.00
_cell_angle_gamma 90.00
_symmetry_space_group_name_H-M 'P 4/m m m'
_symmetry_Int_Tables_number 123
_symmetry_space_group_name_Hall '-P 4 2'
loop_
_atom_site_label
_atom_site_type_symbol
_atom_site_fract_x
_atom_site_fract_y
_atom_site_fract_z
Ba1 Ba 0.000 0.000 0.158
Al1 Al 0.000 0.000 0.500
Ag1 Ag 0.500 0.500 0.000
Ag2 Ag 0.500 0.500 0.358
O1 O 0.000 0.500 0.000
O2 O 0.000 0.500 0.406
O3 O 0.500 0.500 0.167
```